(1)
Calculated powder XRD pattern of CsLaGeO4 for Cu Kα, from a DFT-relaxed cell (GGA-PBE, Alexandria).

Principal peaks in the range 5 to 70 degrees two-theta, by intensity:
Position (°2θ)  Rel. int.  h k l
27.2  100  0 1 2
21.1  95  1 1 0
29.4  91  0 2 0
27.7  83  1 1 -2
11.3  54  0 0 1
34.5  51  1 1 2
43.1  50  2 2 0
35.9  49  2 1 -2

Cell and atoms:
Lattice parameters (Å, degrees): 6.078 6.077 8.161 90.00 106.95 90.00
Space group P2_1/m (No. 11)
Unique sites:
Cs  0.197  0.250  0.428 x2
La  0.282  0.250  0.955 x2
Ge  0.252  0.750  0.156 x2
O  0.057  0.750  0.944 x2
O  0.071  0.750  0.291 x2
O  0.446  0.524  0.171 x4

---

(2)
Calculated powder XRD pattern of CsLa2GeO5 for Cu Kα, from a DFT-relaxed cell (GGA-PBE, Alexandria).

Principal peaks in the range 5 to 70 degrees two-theta, by intensity:
Position (°2θ)  Rel. int.  h k l
29.3  100  2 0 1
31.9  42  2 1 1
29.7  33  0 0 2
41.4  32  2 1 2
35.9  25  2 2 0
47.2  22  2 2 2
52.4  20  2 0 3
54.1  16  4 0 1

Cell and atoms:
Lattice parameters (Å, degrees): 7.077 7.077 6.022 90.00 90.00 90.00
Space group P4/mbm (No. 127)
Unique sites:
Cs  0.000  0.000  0.000 x2
La  0.182  0.318  0.500 x4
Ge  0.000  0.500  0.000 x2
O  0.000  0.000  0.500 x2
O  0.130  0.630  0.248 x8

---

(3)
Calculated powder XRD pattern of CsNa3Li12Ge4O16 for Cu Kα, from a DFT-relaxed cell (GGA-PBE, Alexandria).

Principal peaks in the range 5 to 70 degrees two-theta, by intensity:
Position (°2θ)  Rel. int.  h k l
22.2  100  1 2 1
37.2  51  3 1 2
24.9  35  3 1 0
35.4  29  4 2 0
42.2  23  4 3 1
45.2  21  1 2 3
64.8  20  5 5 2
51.0  14  6 2 0

Cell and atoms:
Lattice parameters (Å, degrees): 11.324 11.324 6.562 90.00 90.00 90.00
Space group I4/m (No. 87)
Unique sites:
Cs  0.000  0.000  0.000 x2
Na  0.000  0.000  0.500 x2
Na  0.000  0.500  0.250 x4
Li  0.078  0.716  0.000 x8
Li  0.102  0.233  0.255 x16
Ge  0.080  0.719  0.500 x8
O  0.068  0.339  0.500 x8
O  0.088  0.806  0.275 x16
O  0.098  0.320  0.000 x8